# 1
Computed powder diffractogram of Dy6Y3Th for Cu Kα, from DFT lattice parameters and positions (GGA-PBE).

Atomic structure:
Cell lengths 6.9043, 6.9043, 6.9043 Å; angles 90.78, 90.78, 90.78 degrees
Sites, in units of the cell vectors:
Dy (0.0000, 0.3291, 0.6709)
Dy (0.1649, 0.8351, 0.5000)
Dy (0.3291, 0.6709, 0.0000)
Dy (0.5000, 0.1649, 0.8351)
Dy (0.6709, 0.0000, 0.3291)
Dy (0.8351, 0.5000, 0.1649)
Y (0.2578, 0.2578, 0.2578)
Y (0.5000, 0.5000, 0.5000)
Y (0.7422, 0.7422, 0.7422)
Th (0.0000, 0.0000, 0.0000)

Largest 8 diffraction maxima, low angle first, 2θ from 10° to 80°:
2θ 29.08, I 83; 2θ 31.53, I 100; 2θ 43.42, I 28; 2θ 54.64, I 29; 2θ 56.14, I 20; 2θ 56.99, I 22; 2θ 65.82, I 12; 2θ 73.53, I 12

---

# 2
Computed powder diffractogram of Dy3YTh2 for Cu Kα, from DFT lattice parameters and positions (GGA-PBE).

Atomic structure:
Cell lengths 10.0421, 3.5730, 10.6627 Å; angles 90.00, 90.02, 90.00 degrees
Sites, in units of the cell vectors:
Dy (0.1243, 0.2500, 0.2502)
Dy (0.1310, 0.2500, 0.9182)
Dy (0.3673, 0.7500, 0.4177)
Dy (0.6327, 0.2500, 0.5823)
Dy (0.8690, 0.7500, 0.0818)
Dy (0.8757, 0.7500, 0.7498)
Y (0.3761, 0.7500, 0.7502)
Y (0.6239, 0.2500, 0.2498)
Th (0.1212, 0.2500, 0.5817)
Th (0.3772, 0.7500, 0.0820)
Th (0.6228, 0.2500, 0.9180)
Th (0.8788, 0.7500, 0.4183)

Largest 8 diffraction maxima, low angle first, 2θ from 10° to 80°:
2θ 30.71, I 100; 2θ 30.82, I 99; 2θ 35.63, I 68; 2θ 35.77, I 33; 2θ 51.38, I 60; 2θ 60.90, I 29; 2θ 61.11, I 43; 2θ 61.21, I 14

---

# 3
Computed powder diffractogram of Dy2Y6Th for Cu Kα, from DFT lattice parameters and positions (GGA-PBE).

Atomic structure:
Cell lengths 9.9609, 9.9609, 6.4841 Å; angles 98.06, 98.06, 68.95 degrees
Sites, in units of the cell vectors:
Dy (0.1494, 0.2297, 0.4050)
Dy (0.2297, 0.1494, 0.9050)
Dy (0.7703, 0.8506, 0.0950)
Dy (0.8506, 0.7703, 0.5950)
Y (0.0805, 0.5610, 0.2253)
Y (0.1220, 0.8354, 0.9907)
Y (0.1646, 0.8780, 0.5093)
Y (0.2459, 0.4920, 0.7380)
Y (0.4390, 0.9195, 0.2747)
Y (0.4920, 0.2459, 0.2380)
Y (0.5080, 0.7541, 0.7620)
Y (0.5610, 0.0805, 0.7253)
Y (0.7541, 0.5080, 0.2620)
Y (0.8354, 0.1220, 0.4907)
Y (0.8780, 0.1646, 0.0093)
Y (0.9195, 0.4390, 0.7747)
Th (0.3988, 0.6012, 0.2500)
Th (0.6012, 0.3988, 0.7500)

Largest 8 diffraction maxima, low angle first, 2θ from 10° to 80°:
2θ 18.23, I 38; 2θ 28.95, I 39; 2θ 30.48, I 89; 2θ 30.95, I 100; 2θ 32.30, I 69; 2θ 33.21, I 45; 2θ 33.47, I 36; 2θ 33.67, I 47

---

# 4
Computed powder diffractogram of Dy3Y6Th for Cu Kα, from DFT lattice parameters and positions (GGA-PBE).

Atomic structure:
Cell lengths 10.9570, 10.9570, 6.2791 Å; angles 90.00, 90.00, 119.05 degrees
Sites, in units of the cell vectors:
Dy (0.1124, 0.8876, 0.5000)
Dy (0.2160, 0.4379, 0.1156)
Dy (0.4379, 0.2160, 0.6156)
Dy (0.5621, 0.7840, 0.1156)
Dy (0.7840, 0.5621, 0.6156)
Dy (0.8876, 0.1124, 0.0000)
Y (0.0368, 0.4545, 0.7002)
Y (0.1193, 0.2077, 0.5303)
Y (0.2077, 0.1193, 0.0303)
Y (0.2262, 0.7738, 0.9209)
Y (0.4535, 0.5465, 0.6716)
Y (0.4545, 0.0368, 0.2002)
Y (0.5455, 0.9632, 0.7002)
Y (0.5465, 0.4535, 0.1716)
Y (0.7738, 0.2262, 0.4209)
Y (0.7923, 0.8807, 0.5303)
Y (0.8807, 0.7923, 0.0303)
Y (0.9632, 0.5455, 0.2002)
Th (0.2947, 0.7053, 0.4211)
Th (0.7053, 0.2947, 0.9211)

Largest 8 diffraction maxima, low angle first, 2θ from 10° to 80°:
2θ 16.91, I 43; 2θ 28.38, I 84; 2θ 28.59, I 54; 2θ 31.43, I 66; 2θ 31.80, I 100; 2θ 32.76, I 38; 2θ 33.89, I 42; 2θ 34.15, I 47

---

What did the first record say?
Computed powder diffractogram of Dy6Y3Th for Cu Kα, from DFT lattice parameters and positions (GGA-PBE).

Atomic structure:
Cell lengths 6.9043, 6.9043, 6.9043 Å; angles 90.78, 90.78, 90.78 degrees
Sites, in units of the cell vectors:
Dy (0.0000, 0.3291, 0.6709)
Dy (0.1649, 0.8351, 0.5000)
Dy (0.3291, 0.6709, 0.0000)
Dy (0.5000, 0.1649, 0.8351)
Dy (0.6709, 0.0000, 0.3291)
Dy (0.8351, 0.5000, 0.1649)
Y (0.2578, 0.2578, 0.2578)
Y (0.5000, 0.5000, 0.5000)
Y (0.7422, 0.7422, 0.7422)
Th (0.0000, 0.0000, 0.0000)

Largest 8 diffraction maxima, low angle first, 2θ from 10° to 80°:
2θ 29.08, I 83; 2θ 31.53, I 100; 2θ 43.42, I 28; 2θ 54.64, I 29; 2θ 56.14, I 20; 2θ 56.99, I 22; 2θ 65.82, I 12; 2θ 73.53, I 12